# 1
DyBe4: simulated powder XRD pattern (copper Kα), based on a crystal structure in Alexandria, relaxed with GGA-PBE.

Most intense lines, 10 to 90 degrees two-theta, sorted by position:
(hkl), 2θ/deg, I/Imax
1 0 0, 17.9, 100.0
1 1 0, 25.4, 86.8
1 1 1, 31.2, 24.1
2 0 0, 36.2, 22.9
2 1 0, 40.6, 50.2
2 1 1, 44.7, 38.3
3 0 0, 55.5, 25.3
3 2 1, 71.0, 19.4

Structural model:
Unit cell a=4.9667 b=4.9667 c=4.9667 alpha=90.00 beta=90.00 gamma=90.00
Space group Pm-3m (No. 221)
Asymmetric unit:
Dy 0.0000 0.0000 0.0000
Be 0.0000 0.0000 0.5000
Be 0.5000 0.5000 0.5000

***

# 2
Rb4GeI6: simulated powder XRD pattern (copper Kα), based on a crystal structure in Alexandria, relaxed with GGA-PBE.

Most intense lines, 10 to 90 degrees two-theta, sorted by position:
(hkl), 2θ/deg, I/Imax
0 1 2, 12.3, 18.3
1 2 2, 21.5, 25.8
1 3 1, 26.5, 55.9
2 1 4, 27.8, 52.6
2 2 3, 29.3, 100.0
0 0 6, 30.3, 24.6
3 2 4, 37.7, 17.5
1 3 7, 44.5, 18.1

Structural model:
Unit cell a=14.2592 b=14.2592 c=17.7007 alpha=90.00 beta=90.00 gamma=120.00
Space group R-3c (No. 167, hexagonal axes)
Asymmetric unit:
Rb 0.0000 0.0000 0.2500
Rb 0.0000 0.3829 0.2500
Ge 0.0000 0.0000 0.0000
I 0.0341 0.1908 0.4000